Record 1
Theoretical X-ray powder pattern of HoSbMo2O9 for Cu Kα, from the PBE+U geometry in the Materials Project.

Largest 10 diffraction maxima, low angle first, 2θ = 10–90°:
15.84°, rel. 45; 18.44°, rel. 30; 23.35°, rel. 80; 25.06°, rel. 71; 26.52°, rel. 100; 27.39°, rel. 99; 27.71°, rel. 72; 28.50°, rel. 63; 47.44°, rel. 27; 48.42°, rel. 35

Lattice parameters (Å, degrees): 9.6730 9.6730 10.8204 111.95 111.95 95.20
Fractional positions:
Ho 0.1257 0.8743 0.7500
Ho 0.3290 0.6710 0.2500
Ho 0.6710 0.3290 0.7500
Ho 0.8743 0.1257 0.2500
Sb 0.3480 0.3822 0.4653
Sb 0.3822 0.3480 0.9653
Sb 0.6178 0.6520 0.0347
Sb 0.6520 0.6178 0.5347
Mo 0.0462 0.2598 0.0259
Mo 0.0578 0.4341 0.6937
Mo 0.2598 0.0462 0.5259
Mo 0.4341 0.0578 0.1937
Mo 0.5659 0.9422 0.8063
Mo 0.7402 0.9538 0.4741
Mo 0.9422 0.5659 0.3063
Mo 0.9538 0.7402 0.9741
O 0.0226 0.6962 0.4983
O 0.0431 0.2204 0.1750
O 0.0666 0.0952 0.8976
O 0.0931 0.5544 0.2488
O 0.0952 0.0666 0.3976
O 0.1310 0.7015 0.0680
O 0.1453 0.6210 0.7265
O 0.2087 0.3637 0.7987
O 0.2204 0.0431 0.6750
O 0.2224 0.4054 0.0795
O 0.2985 0.8690 0.4320
O 0.3038 0.9774 0.0017
O 0.3637 0.2087 0.2987
O 0.3790 0.8547 0.7735
O 0.4054 0.2224 0.5795
O 0.4234 0.5403 0.3979
O 0.4456 0.9069 0.2512
O 0.4597 0.5766 0.1021
O 0.5403 0.4234 0.8979
O 0.5544 0.0931 0.7488
O 0.5766 0.4597 0.6021
O 0.5946 0.7776 0.4205
O 0.6210 0.1453 0.2265
O 0.6363 0.7913 0.7013
O 0.6962 0.0226 0.9983
O 0.7015 0.1310 0.5680
O 0.7776 0.5946 0.9205
O 0.7796 0.9569 0.3250
O 0.7913 0.6363 0.2013
O 0.8547 0.3790 0.2735
O 0.8690 0.2985 0.9320
O 0.9048 0.9334 0.6024
O 0.9069 0.4456 0.7512
O 0.9334 0.9048 0.1024
O 0.9569 0.7796 0.8250
O 0.9774 0.3038 0.5017

=====

Record 2
Theoretical X-ray powder pattern of Sr16Mn8O29 for Cu Kα, from the PBE+U geometry in the Materials Project.

Largest 10 diffraction maxima, low angle first, 2θ = 10–90°:
31.28°, rel. 69; 31.31°, rel. 66; 32.61°, rel. 100; 42.84°, rel. 22; 43.63°, rel. 31; 46.79°, rel. 49; 54.86°, rel. 26; 57.35°, rel. 31; 57.41°, rel. 18; 65.30°, rel. 22

Lattice parameters (Å, degrees): 6.9034 10.3899 10.9802 90.09 90.04 104.09
Fractional positions:
Sr 0.0000 0.0000 0.0000
Sr 0.0024 0.9895 0.5066
Sr 0.1776 0.5883 0.2623
Sr 0.1959 0.6044 0.7649
Sr 0.2334 0.2332 0.2497
Sr 0.2537 0.2442 0.7561
Sr 0.4260 0.8490 0.5088
Sr 0.4439 0.8508 0.0045
Sr 0.4827 0.4954 0.5118
Sr 0.5030 0.4904 0.0093
Sr 0.6758 0.0858 0.2489
Sr 0.6801 0.1010 0.7556
Sr 0.7357 0.7367 0.2606
Sr 0.7549 0.7518 0.7645
Sr 0.9270 0.3507 0.0068
Sr 0.9447 0.3402 0.5072
Mn 0.2132 0.9188 0.2559
Mn 0.2170 0.9215 0.7591
Mn 0.4624 0.1689 0.0061
Mn 0.4694 0.1699 0.5070
Mn 0.7122 0.4186 0.2595
Mn 0.7175 0.4193 0.7563
Mn 0.9598 0.6687 0.5073
Mn 0.9688 0.6708 0.0069
O 0.0813 0.7887 0.3693
O 0.0819 0.7854 0.6411
O 0.1047 0.8064 0.8969
O 0.1825 0.5843 0.5177
O 0.2129 0.5996 0.0189
O 0.2248 0.2512 0.0057
O 0.2467 0.2564 0.4970
O 0.3249 0.0297 0.1205
O 0.3362 0.0388 0.6318
O 0.3438 0.0545 0.8744
O 0.3547 0.0586 0.3771
O 0.4372 0.8294 0.2506
O 0.4544 0.8442 0.7596
O 0.4692 0.4851 0.2685
O 0.4927 0.5071 0.7502
O 0.5771 0.2852 0.1426
O 0.5905 0.2956 0.8882
O 0.6090 0.3112 0.6153
O 0.6983 0.0923 0.0048
O 0.7122 0.0985 0.4967
O 0.7202 0.7400 0.5182
O 0.7451 0.7578 0.0171
O 0.8151 0.5217 0.4051
O 0.8490 0.5499 0.8668
O 0.8513 0.5567 0.1371
O 0.9342 0.3312 0.2645
O 0.9613 0.3506 0.7470
O 0.9685 0.9855 0.2460
O 0.9782 0.0004 0.7552

=====

Record 3
Theoretical X-ray powder pattern of PW3O11 for Cu Kα, from the PBE+U geometry in the Materials Project.

Largest 10 diffraction maxima, low angle first, 2θ = 10–90°:
19.84°, rel. 49; 21.46°, rel. 52; 22.41°, rel. 100; 22.76°, rel. 70; 23.90°, rel. 91; 25.88°, rel. 67; 32.31°, rel. 38; 33.40°, rel. 38; 34.14°, rel. 62; 51.66°, rel. 39

Lattice parameters (Å, degrees): 5.3966 6.7026 24.0486 90.00 90.00 90.00
Fractional positions:
P 0.2348 0.1164 0.2961
P 0.2652 0.8836 0.7961
P 0.7348 0.3836 0.7039
P 0.7652 0.6164 0.2039
W 0.2411 0.7566 0.4028
W 0.2436 0.0809 0.6606
W 0.2437 0.4166 0.5310
W 0.2563 0.5834 0.0310
W 0.2564 0.9191 0.1606
W 0.2589 0.2434 0.9028
W 0.7411 0.7434 0.5972
W 0.7437 0.0834 0.4690
W 0.7436 0.4191 0.3394
W 0.7564 0.5809 0.8394
W 0.7563 0.9166 0.9690
W 0.7589 0.2566 0.0972
O 0.0149 0.5721 0.3618
O 0.0171 0.7230 0.1979
O 0.0176 0.8962 0.6316
O 0.0199 0.2314 0.4966
O 0.0328 0.0654 0.9366
O 0.0340 0.3997 0.0701
O 0.0491 0.7429 0.8104
O 0.2353 0.9456 0.7348
O 0.2422 0.5853 0.4650
O 0.2423 0.9285 0.3327
O 0.2457 0.2421 0.5983
O 0.2543 0.7579 0.0983
O 0.2577 0.0715 0.8327
O 0.2578 0.4147 0.9650
O 0.2647 0.0544 0.2348
O 0.4509 0.2571 0.3104
O 0.4660 0.6003 0.5701
O 0.4672 0.9346 0.4366
O 0.4801 0.7686 0.9966
O 0.4824 0.1038 0.1316
O 0.4829 0.2770 0.6979
O 0.4851 0.4279 0.8618
O 0.5149 0.9279 0.6382
O 0.5171 0.7770 0.8021
O 0.5176 0.6038 0.3684
O 0.5199 0.2686 0.5034
O 0.5328 0.4346 0.0634
O 0.5340 0.1003 0.9299
O 0.5491 0.7571 0.1896
O 0.7353 0.5544 0.2652
O 0.7423 0.5715 0.6673
O 0.7422 0.9147 0.5350
O 0.7457 0.2579 0.4017
O 0.7543 0.7421 0.9017
O 0.7578 0.0853 0.0350
O 0.7577 0.4285 0.1673
O 0.7647 0.4456 0.7652
O 0.9509 0.2429 0.6896
O 0.9660 0.8997 0.4299
O 0.9672 0.5654 0.5634
O 0.9801 0.7314 0.0034
O 0.9824 0.3962 0.8684
O 0.9829 0.2230 0.3021
O 0.9851 0.0721 0.1382

=====

Record 4
Theoretical X-ray powder pattern of Sr3MgFe2S2O5 for Cu Kα, from the PBE+U geometry in the Materials Project.

Largest 10 diffraction maxima, low angle first, 2θ = 10–90°:
12.81°, rel. 5; 32.01°, rel. 100; 37.05°, rel. 8; 37.60°, rel. 12; 42.62°, rel. 5; 45.85°, rel. 23; 45.97°, rel. 6; 57.04°, rel. 35; 66.90°, rel. 14; 76.05°, rel. 10

Lattice parameters (Å, degrees): 14.0998 14.0998 14.0998 163.86 163.86 22.90
Fractional positions:
Sr 0.0000 0.0000 0.0000
Sr 0.1376 0.1376 0.0000
Sr 0.8624 0.8624 0.0000
Mg 0.2500 0.7500 0.5000
Fe 0.4303 0.4303 0.0000
Fe 0.5697 0.5697 0.0000
S 0.3063 0.3063 0.0000
S 0.6937 0.6937 0.0000
O 0.0802 0.5802 0.5000
O 0.4198 0.9198 0.5000
O 0.5000 0.5000 0.0000
O 0.5791 0.0791 0.5000
O 0.9209 0.4209 0.5000

=====

Record 5
Theoretical X-ray powder pattern of Li9Mn2Co5O16 for Cu Kα, from the PBE+U geometry in the Materials Project.

Largest 10 diffraction maxima, low angle first, 2θ = 10–90°:
18.38°, rel. 100; 35.39°, rel. 15; 36.18°, rel. 26; 37.55°, rel. 11; 42.64°, rel. 29; 43.99°, rel. 53; 47.43°, rel. 9; 58.02°, rel. 9; 62.74°, rel. 15; 63.13°, rel. 15

Lattice parameters (Å, degrees): 6.5192 6.5192 10.2570 120.24 120.24 52.89
Fractional positions:
Li 0.0000 0.0000 0.0000
Li 0.0069 0.5110 0.7653
Li 0.2464 0.2528 0.0003
Li 0.2471 0.2527 0.5008
Li 0.4890 0.9931 0.2347
Li 0.5009 0.0057 0.7517
Li 0.7473 0.7529 0.4992
Li 0.7472 0.7536 0.9997
Li 0.9943 0.4991 0.2483
Mn 0.7440 0.2548 0.7525
Mn 0.7452 0.2560 0.2475
Co 0.2402 0.7573 0.7562
Co 0.2427 0.7598 0.2438
Co 0.4921 0.5079 0.5000
Co 0.4989 0.5011 0.0000
Co 0.9990 0.0010 0.5000
O 0.0987 0.1318 0.7464
O 0.1085 0.1213 0.2534
O 0.1323 0.6397 0.5031
O 0.1577 0.6219 0.0112
O 0.3603 0.8677 0.4969
O 0.3781 0.8423 0.9888
O 0.3877 0.3882 0.2563
O 0.3887 0.3700 0.7434
O 0.6118 0.6123 0.7437
O 0.6279 0.1577 0.0218
O 0.6300 0.6113 0.2566
O 0.6381 0.1452 0.5174
O 0.8423 0.3721 0.9782
O 0.8548 0.3619 0.4826
O 0.8682 0.9013 0.2536
O 0.8787 0.8915 0.7466

=====

Record 6
Theoretical X-ray powder pattern of Cr2CuN4O8 for Cu Kα, from the PBE+U geometry in the Materials Project.

Largest 10 diffraction maxima, low angle first, 2θ = 10–90°:
12.06°, rel. 48; 14.65°, rel. 100; 21.21°, rel. 35; 22.59°, rel. 15; 23.02°, rel. 25; 24.29°, rel. 41; 27.25°, rel. 17; 27.38°, rel. 10; 29.88°, rel. 20; 33.11°, rel. 11

Lattice parameters (Å, degrees): 6.0273 7.1715 7.9188 110.25 91.91 107.58
Fractional positions:
Cr 0.1885 0.2859 0.2120
Cr 0.8115 0.7141 0.7880
Cu 0.5000 0.0000 0.0000
N 0.1452 0.3505 0.7359
N 0.4683 0.0064 0.7616
N 0.5317 0.9936 0.2384
N 0.8548 0.6495 0.2641
O 0.0559 0.7604 0.9236
O 0.1192 0.1472 0.3401
O 0.2827 0.5363 0.3426
O 0.4081 0.2293 0.0864
O 0.5919 0.7707 0.9136
O 0.7173 0.4637 0.6574
O 0.8808 0.8528 0.6599
O 0.9441 0.2396 0.0764

=====

Record 7
Theoretical X-ray powder pattern of KFeSe2O6 for Cu Kα, from the PBE+U geometry in the Materials Project.

Largest 10 diffraction maxima, low angle first, 2θ = 10–90°:
12.64°, rel. 21; 23.59°, rel. 17; 25.43°, rel. 66; 28.08°, rel. 71; 30.20°, rel. 100; 31.60°, rel. 54; 32.35°, rel. 39; 37.07°, rel. 20; 58.85°, rel. 17; 62.29°, rel. 18

Lattice parameters (Å, degrees): 13.1826 5.5344 8.2691 90.00 90.00 90.00
Fractional positions:
K 0.1263 0.2500 0.0065
K 0.3737 0.7500 0.5065
K 0.6263 0.2500 0.4935
K 0.8737 0.7500 0.9935
Fe 0.1023 0.7500 0.6975
Fe 0.3977 0.2500 0.1975
Fe 0.6023 0.7500 0.8025
Fe 0.8977 0.2500 0.3025
Se 0.0615 0.7500 0.2935
Se 0.2030 0.2500 0.4890
Se 0.2970 0.7500 0.9890
Se 0.4385 0.2500 0.7935
Se 0.5615 0.7500 0.2065
Se 0.7030 0.2500 0.0110
Se 0.7970 0.7500 0.5110
Se 0.9385 0.2500 0.7065
O 0.0042 0.0070 0.7877
O 0.0042 0.4930 0.7877
O 0.0227 0.7500 0.4927
O 0.1707 0.7500 0.9267
O 0.2060 0.0067 0.6206
O 0.2060 0.4933 0.6206
O 0.2940 0.5067 0.1206
O 0.2940 0.9933 0.1206
O 0.3293 0.2500 0.4267
O 0.4773 0.2500 0.9927
O 0.4958 0.5070 0.2877
O 0.4958 0.9930 0.2877
O 0.5042 0.0070 0.7123
O 0.5042 0.4930 0.7123
O 0.5227 0.7500 0.0073
O 0.6707 0.7500 0.5733
O 0.7060 0.0067 0.8794
O 0.7060 0.4933 0.8794
O 0.7940 0.5067 0.3794
O 0.7940 0.9933 0.3794
O 0.8293 0.2500 0.0733
O 0.9773 0.2500 0.5073
O 0.9958 0.5070 0.2123
O 0.9958 0.9930 0.2123

=====

Record 8
Theoretical X-ray powder pattern of MnOF for Cu Kα, from the PBE+U geometry in the Materials Project.

Largest 10 diffraction maxima, low angle first, 2θ = 10–90°:
24.16°, rel. 68; 29.42°, rel. 100; 30.42°, rel. 50; 43.86°, rel. 17; 50.68°, rel. 23; 52.22°, rel. 19; 52.68°, rel. 33; 53.48°, rel. 29; 61.54°, rel. 18; 64.90°, rel. 21

Lattice parameters (Å, degrees): 5.1094 4.7457 5.8498 90.00 93.13 90.00
Fractional positions:
Mn 0.2273 0.0228 0.1603
Mn 0.2273 0.4772 0.6603
Mn 0.7727 0.5228 0.3397
Mn 0.7727 0.9772 0.8397
O 0.0750 0.2121 0.8972
O 0.0750 0.2879 0.3972
O 0.9250 0.7121 0.6028
O 0.9250 0.7879 0.1028
F 0.4341 0.7468 0.3684
F 0.4341 0.7532 0.8684
F 0.5659 0.2468 0.1316
F 0.5659 0.2532 0.6316

=====

Please write out number 2 again, unchanged.
Theoretical X-ray powder pattern of Sr16Mn8O29 for Cu Kα, from the PBE+U geometry in the Materials Project.

Largest 10 diffraction maxima, low angle first, 2θ = 10–90°:
31.28°, rel. 69; 31.31°, rel. 66; 32.61°, rel. 100; 42.84°, rel. 22; 43.63°, rel. 31; 46.79°, rel. 49; 54.86°, rel. 26; 57.35°, rel. 31; 57.41°, rel. 18; 65.30°, rel. 22

Lattice parameters (Å, degrees): 6.9034 10.3899 10.9802 90.09 90.04 104.09
Fractional positions:
Sr 0.0000 0.0000 0.0000
Sr 0.0024 0.9895 0.5066
Sr 0.1776 0.5883 0.2623
Sr 0.1959 0.6044 0.7649
Sr 0.2334 0.2332 0.2497
Sr 0.2537 0.2442 0.7561
Sr 0.4260 0.8490 0.5088
Sr 0.4439 0.8508 0.0045
Sr 0.4827 0.4954 0.5118
Sr 0.5030 0.4904 0.0093
Sr 0.6758 0.0858 0.2489
Sr 0.6801 0.1010 0.7556
Sr 0.7357 0.7367 0.2606
Sr 0.7549 0.7518 0.7645
Sr 0.9270 0.3507 0.0068
Sr 0.9447 0.3402 0.5072
Mn 0.2132 0.9188 0.2559
Mn 0.2170 0.9215 0.7591
Mn 0.4624 0.1689 0.0061
Mn 0.4694 0.1699 0.5070
Mn 0.7122 0.4186 0.2595
Mn 0.7175 0.4193 0.7563
Mn 0.9598 0.6687 0.5073
Mn 0.9688 0.6708 0.0069
O 0.0813 0.7887 0.3693
O 0.0819 0.7854 0.6411
O 0.1047 0.8064 0.8969
O 0.1825 0.5843 0.5177
O 0.2129 0.5996 0.0189
O 0.2248 0.2512 0.0057
O 0.2467 0.2564 0.4970
O 0.3249 0.0297 0.1205
O 0.3362 0.0388 0.6318
O 0.3438 0.0545 0.8744
O 0.3547 0.0586 0.3771
O 0.4372 0.8294 0.2506
O 0.4544 0.8442 0.7596
O 0.4692 0.4851 0.2685
O 0.4927 0.5071 0.7502
O 0.5771 0.2852 0.1426
O 0.5905 0.2956 0.8882
O 0.6090 0.3112 0.6153
O 0.6983 0.0923 0.0048
O 0.7122 0.0985 0.4967
O 0.7202 0.7400 0.5182
O 0.7451 0.7578 0.0171
O 0.8151 0.5217 0.4051
O 0.8490 0.5499 0.8668
O 0.8513 0.5567 0.1371
O 0.9342 0.3312 0.2645
O 0.9613 0.3506 0.7470
O 0.9685 0.9855 0.2460
O 0.9782 0.0004 0.7552